Structure and computed XRD peak list of CsLa2NpSe5 (a DFT-relaxed cell (PBE, Alexandria); λ = 1.5418 Å (Cu Kα)).
No peak broadening, texture or thermal motion is included.

Cell and atoms:
```
data_CsLa2NpSe5
_chemical_formula_sum 'Cs2 La4 Np2 Se10'
_cell_length_a 5.329
_cell_length_b 7.703
_cell_length_c 14.816
_cell_angle_alpha 90.00
_cell_angle_beta 90.00
_cell_angle_gamma 90.00
_space_group_name_H-M_alt 'I m m m'
_space_group_IT_number 71
_space_group_name_Hall '-I 2 2'
loop_
_atom_site_label
_atom_site_fract_x
_atom_site_fract_y
_atom_site_fract_z
Cs1 0.000 0.000 0.000
La1 0.000 0.500 0.206
Np1 0.000 0.000 0.500
Se1 0.000 0.232 0.347
Se2 0.000 0.500 0.000
```

Main lines, by angle (2θ = 10–90°):
hkl 0 1 1, 2θ = 13.0°, d 6.834, I = 59; hkl 1 1 2, 2θ = 23.6°, d 3.772, I = 100; hkl 0 1 5, 2θ = 32.4°, d 2.766, I = 18; hkl 2 0 0, 2θ = 33.6°, d 2.667, I = 96; hkl 1 2 3, 2θ = 34.0°, d 2.639, I = 43; hkl 0 0 6, 2θ = 36.4°, d 2.469, I = 18; hkl 1 3 2, 2θ = 40.9°, d 2.208, I = 29; hkl 2 2 4, 2θ = 48.3°, d 1.886, I = 38